# Np4Pa3S8
Simulated powder X-ray diffraction pattern, copper Kα. Input: a DFT-relaxed cell (PBE, Alexandria).
No peak broadening, texture or thermal motion is included.

Structure:
a b c (Å): 10.9460 10.9689 7.7497
angles (deg): 90.00 134.70 90.00
Space group C2/m (No. 12)
Symmetry-distinct sites (fractional):
Np: 0.0000 0.0000 0.0000 (multiplicity 2)
Np: 0.0000 0.5000 0.5000 (multiplicity 2)
Np: 0.2500 0.2500 0.0000 (multiplicity 4)
Pa: 0.0000 0.5000 0.0000 (multiplicity 2)
Pa: 0.2500 0.2500 0.5000 (multiplicity 4)
S: 0.0000 0.2441 0.5000 (multiplicity 4)
S: 0.0000 0.2474 0.0000 (multiplicity 4)
S: 0.2445 0.0000 0.5008 (multiplicity 4)
S: 0.2448 0.0000 0.9913 (multiplicity 4)

Most intense lines, 10° ≤ 2θ ≤ 90°, by intensity:
2θ (°)	I_rel	index
28.16	100.0	2 2 0
32.69	68.1	0 4 0
46.73	37.9	4 0 0
46.90	37.5	4 4 -2
32.51	34.6	0 0 2
55.57	25.0	2 6 0